For NbV3O8, a structure optimized by DFT (GGA+U) gives the calculated powder X-ray diffraction pattern in this record (λ = 1.5418 Å (Cu Kα)).
Intensities are scaled so that the largest is 100.

Cell and atoms:
```
NbV3O8
1.0
2.9936 -5.2199 0.0000
2.9936 5.2199 0.0000
-0.3018 0.0000 9.3801
Nb V O
2 6 16
direct
0.1727 0.8273 0.5000
0.8273 0.1727 0.0000
0.1664 0.3336 0.7052
0.3336 0.1664 0.2052
0.3420 0.6849 0.2186
0.6849 0.3420 0.7186
0.6889 0.8473 0.7198
0.8473 0.6889 0.2198
0.0211 0.9738 0.3372
0.0291 0.5512 0.3369
0.1606 0.8239 0.1070
0.1642 0.3472 0.0978
0.3464 0.6821 0.6000
0.3472 0.1642 0.5978
0.4601 0.9724 0.3359
0.5089 0.5105 0.3020
0.5105 0.5089 0.8020
0.5512 0.0291 0.8369
0.6768 0.8529 0.1034
0.6821 0.3464 0.1000
0.8239 0.1606 0.6070
0.8529 0.6768 0.6034
0.9724 0.4601 0.8359
0.9738 0.0211 0.8372
```

Most intense lines, 10° ≤ 2θ ≤ 80°, sorted by position:
2θ/deg, d_spacing, Rel. int.
18.92, 4.690, 51
19.31, 4.597, 92
19.46, 4.561, 77
19.77, 4.490, 100
25.23, 3.530, 30
25.53, 3.489, 34
33.03, 2.712, 30
33.41, 2.682, 29
35.18, 2.551, 38
35.69, 2.516, 96
36.14, 2.485, 37
61.67, 1.504, 43

---

For KTbCr2O8, a structure optimized by DFT (GGA+U) gives the calculated powder X-ray diffraction pattern in this record (λ = 1.5418 Å (Cu Kα)).
Intensities are scaled so that the largest is 100.

Cell and atoms:
```
KTbCr2O8
1.0
5.8119 0.0000 0.0000
0.0000 9.2137 0.0000
0.0000 0.0000 13.9103
K Tb Cr O
4 4 8 32
direct
0.2372 0.0910 0.0874
0.2628 0.9090 0.5874
0.7372 0.4090 0.9126
0.7628 0.5910 0.4126
0.2232 0.4579 0.6422
0.2768 0.5421 0.1422
0.7232 0.0421 0.3578
0.7768 0.9579 0.8578
0.2283 0.3157 0.3826
0.2326 0.1530 0.8378
0.2674 0.8470 0.3378
0.2717 0.6843 0.8826
0.7283 0.1843 0.6174
0.7326 0.3470 0.1622
0.7674 0.6530 0.6622
0.7717 0.8157 0.1174
0.0048 0.1567 0.9126
0.0160 0.1969 0.3962
0.0195 0.7679 0.8927
0.0282 0.8797 0.4019
0.1721 0.0153 0.7666
0.2053 0.3896 0.2739
0.2071 0.4450 0.4662
0.2460 0.6908 0.2792
0.2540 0.3092 0.7792
0.2929 0.5550 0.9662
0.2947 0.6104 0.7739
0.3279 0.9847 0.2666
0.4718 0.1203 0.9019
0.4805 0.2321 0.3927
0.4840 0.8031 0.8962
0.4952 0.8433 0.4126
0.5048 0.3433 0.0874
0.5160 0.3031 0.6038
0.5195 0.7321 0.1073
0.5282 0.6203 0.5981
0.6721 0.4847 0.2334
0.7053 0.1104 0.7261
0.7071 0.0550 0.5338
0.7460 0.8092 0.7208
0.7540 0.1908 0.2208
0.7929 0.9450 0.0338
0.7947 0.8896 0.2261
0.8279 0.5153 0.7334
0.9718 0.3797 0.0981
0.9805 0.2679 0.6073
0.9840 0.6969 0.1038
0.9952 0.6567 0.5874
```

Most intense lines, 10° ≤ 2θ ≤ 80°, sorted by position:
2θ/deg, d_spacing, Rel. int.
15.97, 5.551, 96
18.05, 4.916, 53
25.49, 3.494, 74
25.62, 3.478, 51
27.84, 3.204, 100
30.77, 2.906, 40
31.41, 2.848, 39
31.51, 2.839, 20
41.66, 2.168, 19
44.87, 2.020, 17
46.75, 1.943, 20
51.55, 1.773, 19

---

For Hf3NiO6F6, a structure optimized by DFT (GGA+U) gives the calculated powder X-ray diffraction pattern in this record (λ = 1.5418 Å (Cu Kα)).
Intensities are scaled so that the largest is 100.

Cell and atoms:
```
Hf3NiO6F6
1.0
5.8717 0.0000 0.0000
-1.9028 6.6878 0.0000
-1.9907 -3.1623 6.0261
Hf Ni O F
3 1 6 6
direct
0.0000 0.0000 0.0000
0.0000 0.5000 0.5000
0.5000 0.0000 0.5000
0.0000 0.0000 0.5000
0.1396 0.9515 0.2831
0.1451 0.3052 0.5912
0.3283 0.0878 0.7069
0.6717 0.9122 0.2931
0.8549 0.6948 0.4088
0.8604 0.0485 0.7169
0.0672 0.7261 0.8173
0.3274 0.6805 0.4766
0.3667 0.1933 0.1087
0.6333 0.8067 0.8913
0.6726 0.3195 0.5234
0.9328 0.2739 0.1827
```

Most intense lines, 10° ≤ 2θ ≤ 80°, sorted by position:
2θ/deg, d_spacing, Rel. int.
14.70, 6.026, 55
14.96, 5.922, 54
17.30, 5.125, 36
22.79, 3.901, 55
23.20, 3.834, 100
29.65, 3.013, 41
30.18, 2.961, 33
30.98, 2.886, 35
34.99, 2.564, 27
35.20, 2.550, 22
35.58, 2.523, 23
56.39, 1.632, 19

---

For ZnMo2O5, a structure optimized by DFT (GGA+U) gives the calculated powder X-ray diffraction pattern in this record (λ = 1.5418 Å (Cu Kα)).
Intensities are scaled so that the largest is 100.

Cell and atoms:
```
ZnMo2O5
1.0
1.8899 -5.2249 0.0000
1.8899 5.2249 0.0000
0.0000 0.0000 12.3113
Zn Mo O
2 4 10
direct
0.0972 0.9028 0.7500
0.9028 0.0972 0.2500
0.2000 0.8000 0.0999
0.2000 0.8000 0.4001
0.8000 0.2000 0.5999
0.8000 0.2000 0.9001
0.0282 0.9718 0.1317
0.0282 0.9718 0.3683
0.2316 0.7684 0.5751
0.2316 0.7684 0.9249
0.2961 0.7039 0.2500
0.7039 0.2961 0.7500
0.7684 0.2316 0.0751
0.7684 0.2316 0.4249
0.9718 0.0282 0.6317
0.9718 0.0282 0.8683
```

Most intense lines, 10° ≤ 2θ ≤ 80°, sorted by position:
2θ/deg, d_spacing, Rel. int.
16.97, 5.225, 100
22.32, 3.983, 31
25.05, 3.554, 80
26.09, 3.415, 34
27.64, 3.227, 92
33.35, 2.687, 97
35.06, 2.559, 50
35.81, 2.508, 39
44.14, 2.052, 26
48.15, 1.890, 33
51.43, 1.777, 24
58.72, 1.572, 42

---

For La2CoNiO6, a structure optimized by DFT (GGA+U) gives the calculated powder X-ray diffraction pattern in this record (λ = 1.5418 Å (Cu Kα)).
Intensities are scaled so that the largest is 100.

Cell and atoms:
```
La2CoNiO6
1.0
2.7792 1.6046 4.3770
-2.7792 1.6046 4.3770
0.0000 -3.2091 4.3770
La Co Ni O
2 1 1 6
direct
0.2487 0.2487 0.2487
0.7513 0.7513 0.7513
0.0000 0.0000 0.0000
0.5000 0.5000 0.5000
0.1742 0.3060 0.7658
0.2342 0.8258 0.6940
0.3060 0.7658 0.1742
0.6940 0.2342 0.8258
0.7658 0.1742 0.3060
0.8258 0.6940 0.2342
```

Most intense lines, 10° ≤ 2θ ≤ 80°, sorted by position:
2θ/deg, d_spacing, Rel. int.
22.91, 3.882, 23
32.21, 2.779, 100
33.03, 2.712, 99
39.89, 2.260, 21
46.80, 1.941, 59
57.43, 1.605, 24
57.95, 1.591, 41
59.50, 1.554, 18
67.39, 1.390, 16
69.29, 1.356, 17
77.12, 1.237, 16
78.48, 1.219, 17

---

For SrMgFe2Se4O12, a structure optimized by DFT (GGA+U) gives the calculated powder X-ray diffraction pattern in this record (λ = 1.5418 Å (Cu Kα)).
Intensities are scaled so that the largest is 100.

Cell and atoms:
```
SrMgFe2Se4O12
1.0
6.8227 0.0000 0.0000
0.0000 5.9486 0.0000
-0.3021 0.0000 7.3076
Sr Mg Fe Se O
1 1 2 4 12
direct
0.0000 0.0000 0.0000
0.0000 0.5000 0.0000
0.0000 0.5000 0.5000
0.5000 0.0000 0.0000
0.2212 0.0000 0.6042
0.3795 0.5000 0.2002
0.6205 0.5000 0.7998
0.7788 0.0000 0.3958
0.0921 0.2240 0.6966
0.0921 0.7760 0.6966
0.2501 0.2894 0.0726
0.2501 0.7106 0.0726
0.2824 0.5000 0.4073
0.4370 0.0000 0.7380
0.5630 0.0000 0.2620
0.7176 0.5000 0.5927
0.7499 0.2894 0.9274
0.7499 0.7106 0.9274
0.9079 0.2240 0.3034
0.9079 0.7760 0.3034
```

Most intense lines, 10° ≤ 2θ ≤ 80°, sorted by position:
2θ/deg, d_spacing, Rel. int.
22.99, 3.868, 35
23.57, 3.775, 100
27.21, 3.277, 76
29.37, 3.041, 50
30.04, 2.974, 66
32.02, 2.795, 24
32.24, 2.776, 80
40.00, 2.254, 35
40.98, 2.202, 38
42.53, 2.125, 54
54.76, 1.676, 22
56.13, 1.638, 22

---

For MgNi3P3O13, a structure optimized by DFT (GGA+U) gives the calculated powder X-ray diffraction pattern in this record (λ = 1.5418 Å (Cu Kα)).
Intensities are scaled so that the largest is 100.

Cell and atoms:
```
MgNi3P3O13
1.0
7.4586 0.0000 0.0000
0.0000 6.2170 0.0000
-1.8208 0.0000 10.0375
Mg Ni P O
2 6 6 26
direct
0.1358 0.2500 0.1699
0.8642 0.7500 0.8301
0.1397 0.2500 0.7993
0.2626 0.7500 0.4356
0.5000 0.0000 0.0000
0.5000 0.5000 0.0000
0.7374 0.2500 0.5644
0.8603 0.7500 0.2007
0.1822 0.7500 0.1136
0.2363 0.7500 0.7630
0.2908 0.2500 0.5116
0.7092 0.7500 0.4884
0.7637 0.2500 0.2370
0.8178 0.2500 0.8864
0.0082 0.2500 0.9757
0.1075 0.5631 0.7891
0.1075 0.9369 0.7891
0.1258 0.7500 0.2539
0.1488 0.2500 0.6035
0.2540 0.0620 0.4092
0.2540 0.4380 0.4092
0.2866 0.5373 0.1031
0.2866 0.9627 0.1031
0.2964 0.7500 0.6296
0.3762 0.2500 0.9043
0.4102 0.7500 0.8731
0.4810 0.2500 0.5970
0.5190 0.7500 0.4030
0.5898 0.2500 0.1269
0.6238 0.7500 0.0957
0.7036 0.2500 0.3704
0.7134 0.0373 0.8969
0.7134 0.4627 0.8969
0.7460 0.5620 0.5908
0.7460 0.9380 0.5908
0.8512 0.7500 0.3965
0.8742 0.2500 0.7461
0.8925 0.0631 0.2109
0.8925 0.4369 0.2109
0.9918 0.7500 0.0243
```

Most intense lines, 10° ≤ 2θ ≤ 80°, sorted by position:
2θ/deg, d_spacing, Rel. int.
16.77, 5.285, 38
19.57, 4.537, 100
23.19, 3.836, 30
24.27, 3.667, 61
27.32, 3.264, 59
28.72, 3.109, 60
31.29, 2.859, 87
32.85, 2.726, 38
33.14, 2.703, 48
37.94, 2.372, 32
39.58, 2.277, 46
59.47, 1.554, 25